Simulated PXRD pattern of LaZn5Ru2 for a wavelength of 1.5418 Å, from a cell relaxed with GGA-PBE.

Structural model:
Unit cell a=4.0513 b=7.6446 c=9.2790 alpha=90.00 beta=90.00 gamma=90.00
Space group Immm (No. 71)
Symmetry-distinct sites (fractional):
La1 0.0000 0.0000 0.0000 (multiplicity 2)
Zn1 0.0000 0.1778 0.3378 (multiplicity 8)
Zn2 0.0000 0.5000 0.0000 (multiplicity 2)
Ru1 0.0000 0.5000 0.2687 (multiplicity 4)

Principal peaks in the range 10° ≤ 2θ ≤ 90°, most intense first:
(hkl)  d (Å)  I/Imax
1 0 3  2.458  100.0
1 2 1  2.663  51.2
1 3 2  1.956  41.3
2 0 0  2.026  36.7
1 1 2  2.834  34.7
0 2 4  1.983  34.5
1 3 0  2.157  32.1
0 2 0  3.822  24.8
2 2 4  1.417  22.4
2 4 4  1.193  13.8


Simulated PXRD pattern of SrCa2Ga2 for a wavelength of 1.5418 Å, from a cell relaxed with GGA-PBE.

Structural model:
Unit cell a=4.9048 b=4.9048 c=13.0841 alpha=90.00 beta=90.00 gamma=90.00
Space group I4/mmm (No. 139)
Symmetry-distinct sites (fractional):
Sr1 0.0000 0.0000 0.0000 (multiplicity 2)
Ca1 0.0000 0.5000 0.2500 (multiplicity 4)
Ga1 0.0000 0.0000 0.4050 (multiplicity 4)

Principal peaks in the range 10° ≤ 2θ ≤ 90°, most intense first:
(hkl)  d (Å)  I/Imax
1 1 2  3.064  100.0
2 0 0  2.452  53.0
1 0 5  2.309  47.5
2 1 5  1.681  34.9
1 0 3  3.259  32.8
1 1 0  3.468  29.3
3 1 2  1.509  21.9
2 2 0  1.734  17.7
2 1 3  1.960  17.4
3 2 5  1.207  11.4


Simulated PXRD pattern of AcPd4O8 for a wavelength of 1.5418 Å, from a cell relaxed with GGA-PBE.

Structural model:
Unit cell a=6.2272 b=6.2272 c=12.6582 alpha=90.00 beta=90.00 gamma=120.00
Space group P6_3/mmc (No. 194)
Symmetry-distinct sites (fractional):
Ac1 0.0000 0.0000 0.0000 (multiplicity 2)
Pd1 0.0000 0.0000 0.2500 (multiplicity 2)
Pd2 0.0458 0.5229 0.2500 (multiplicity 6)
O1 0.1587 0.3174 0.1480 (multiplicity 12)
O2 0.3333 0.6667 0.6665 (multiplicity 4)

Principal peaks in the range 10° ≤ 2θ ≤ 90°, most intense first:
(hkl)  d (Å)  I/Imax
2 0 4  2.052  100.0
2 0 0  2.696  76.1
1 0 2  4.105  70.3
1 0 0  5.393  66.0
0 0 2  6.329  49.5
0 0 4  3.165  37.3
2 0 8  1.365  22.3
1 0 4  2.729  21.5
2 2 0  1.557  21.2
1 1 0  3.114  20.5


Simulated PXRD pattern of ThGe2BRu2 for a wavelength of 1.5418 Å, from a cell relaxed with GGA-PBE.

Structural model:
Unit cell a=4.1944 b=4.1944 c=5.5711 alpha=90.00 beta=90.00 gamma=90.00
Space group P4/mmm (No. 123)
Symmetry-distinct sites (fractional):
Th1 0.0000 0.0000 0.0000 (multiplicity 1)
Ge1 0.5000 0.5000 0.2224 (multiplicity 2)
B1 0.0000 0.0000 0.5000 (multiplicity 1)
Ru1 0.0000 0.5000 0.5000 (multiplicity 2)

Principal peaks in the range 10° ≤ 2θ ≤ 90°, most intense first:
(hkl)  d (Å)  I/Imax
1 1 1  2.618  100.0
1 0 2  2.320  49.5
2 0 0  2.097  45.5
1 0 1  3.351  33.3
2 1 2  1.556  28.6
3 1 1  1.290  22.1
2 2 0  1.483  14.9
1 1 3  1.574  13.0
0 0 2  2.786  12.9
2 0 4  1.160  12.0


Simulated PXRD pattern of MgNbIrO6 for a wavelength of 1.5418 Å, from a cell relaxed with GGA-PBE.

Structural model:
Unit cell a=4.7342 b=4.7342 c=9.2851 alpha=90.00 beta=90.00 gamma=90.00
Space group P4_2nm (No. 102)
Symmetry-distinct sites (fractional):
Mg1 0.0000 0.0000 0.0000 (multiplicity 2)
Nb1 0.0000 0.0000 0.6659 (multiplicity 2)
Ir1 0.0000 0.0000 0.3305 (multiplicity 2)
O1 0.1909 0.1909 0.4967 (multiplicity 4)
O2 0.1998 0.1998 0.1757 (multiplicity 4)
O3 0.2086 0.2086 0.8230 (multiplicity 4)

Principal peaks in the range 10° ≤ 2θ ≤ 90°, most intense first:
(hkl)  d (Å)  I/Imax
1 1 0  3.348  100.0
1 0 3  2.591  76.3
1 0 1  4.218  70.2
2 1 3  1.747  65.9
3 0 3  1.405  34.5
0 0 2  4.643  23.7
1 1 2  2.715  22.4
2 0 0  2.367  20.3
2 1 1  2.064  19.8
2 2 0  1.674  17.3